Structure and computed powder XRD pattern of DyOsBr (DFT lattice parameters and positions (PBE); Cu Kα X-rays).
No peak broadening, texture or thermal motion is included.

```
DyOsBr
1.0
2.085 1.204 11.322
-2.085 1.204 11.322
0.000 -2.407 11.322
Dy Os Br
2 2 2
Direct
0.059 0.059 0.059 Dy
0.941 0.941 0.941 Dy
0.338 0.338 0.338 Os
0.662 0.662 0.662 Os
0.221 0.221 0.221 Br
0.779 0.779 0.779 Br
```

Most intense lines, 5° ≤ 2θ ≤ 70°, sorted by position:
2θ 7.81, d = 11.322 Å, rel. 100
2θ 30.87, d = 2.897 Å, rel. 35
2θ 32.55, d = 2.751 Å, rel. 11
2θ 36.31, d = 2.474 Å, rel. 12
2θ 38.35, d = 2.347 Å, rel. 7
2θ 39.81, d = 2.264 Å, rel. 4
2θ 43.40, d = 2.085 Å, rel. 22
2θ 44.17, d = 2.050 Å, rel. 10
2θ 48.23, d = 1.887 Å, rel. 5
2θ 54.21, d = 1.692 Å, rel. 7
2θ 60.35, d = 1.534 Å, rel. 6
2θ 66.88, d = 1.399 Å, rel. 10


Structure and computed powder XRD pattern of RbDyPbBr6 (DFT lattice parameters and positions (PBE); Cu Kα X-rays).
No peak broadening, texture or thermal motion is included.

```
RbDyPbBr6
1.0
7.679 0.000 0.000
-3.839 6.650 0.000
0.000 0.000 14.888
Rb Dy Pb Br
2 2 2 12
Direct
0.000 0.000 0.000 Rb
0.000 0.000 0.500 Rb
0.333 0.667 0.250 Dy
0.667 0.333 0.750 Dy
0.333 0.667 0.750 Pb
0.667 0.333 0.250 Pb
0.024 0.382 0.139 Br
0.024 0.641 0.361 Br
0.359 0.382 0.361 Br
0.359 0.976 0.139 Br
0.382 0.024 0.639 Br
0.382 0.359 0.861 Br
0.618 0.641 0.139 Br
0.618 0.976 0.361 Br
0.641 0.024 0.861 Br
0.641 0.618 0.639 Br
0.976 0.359 0.639 Br
0.976 0.618 0.861 Br
```

Most intense lines, 5° ≤ 2θ ≤ 70°, sorted by position:
2θ 11.89, d = 7.444 Å, rel. 55
2θ 13.31, d = 6.650 Å, rel. 24
2θ 17.89, d = 4.959 Å, rel. 79
2θ 26.12, d = 3.412 Å, rel. 87
2θ 33.53, d = 2.672 Å, rel. 100
2θ 37.78, d = 2.381 Å, rel. 29
2θ 40.70, d = 2.217 Å, rel. 45
2θ 43.42, d = 2.084 Å, rel. 32
2θ 48.98, d = 1.860 Å, rel. 20
2θ 53.73, d = 1.706 Å, rel. 22
2θ 65.50, d = 1.425 Å, rel. 25
2θ 69.53, d = 1.352 Å, rel. 18


Structure and computed powder XRD pattern of DyPuTlBr6 (DFT lattice parameters and positions (PBE); Cu Kα X-rays).
No peak broadening, texture or thermal motion is included.

```
DyPuTlBr6
1.0
7.486 0.000 0.000
-3.743 6.483 0.000
0.000 0.000 14.602
Dy Pu Tl Br
2 2 2 12
Direct
0.333 0.667 0.250 Dy
0.667 0.333 0.750 Dy
0.333 0.667 0.750 Pu
0.667 0.333 0.250 Pu
0.000 0.000 0.000 Tl
0.000 0.000 0.500 Tl
0.016 0.373 0.137 Br
0.016 0.643 0.363 Br
0.357 0.373 0.363 Br
0.357 0.984 0.137 Br
0.373 0.016 0.637 Br
0.373 0.357 0.863 Br
0.627 0.643 0.137 Br
0.627 0.984 0.363 Br
0.643 0.016 0.863 Br
0.643 0.627 0.637 Br
0.984 0.357 0.637 Br
0.984 0.627 0.863 Br
```

Most intense lines, 5° ≤ 2θ ≤ 70°, sorted by position:
2θ 12.12, d = 7.301 Å, rel. 18
2θ 18.30, d = 4.848 Å, rel. 100
2θ 23.77, d = 3.743 Å, rel. 21
2θ 26.76, d = 3.331 Å, rel. 48
2θ 30.16, d = 2.963 Å, rel. 26
2θ 34.31, d = 2.613 Å, rel. 90
2θ 38.76, d = 2.323 Å, rel. 33
2θ 41.80, d = 2.161 Å, rel. 39
2θ 44.40, d = 2.040 Å, rel. 14
2θ 52.41, d = 1.746 Å, rel. 16
2θ 55.15, d = 1.665 Å, rel. 21
2θ 67.13, d = 1.394 Å, rel. 17


Structure and computed powder XRD pattern of Rb2DyBr6 (DFT lattice parameters and positions (PBE); Cu Kα X-rays).
No peak broadening, texture or thermal motion is included.

```
Rb2DyBr6
1.0
4.533 0.000 0.000
0.000 7.634 4.398
0.000 -7.634 4.398
Rb Dy Br
2 1 6
Direct
0.000 0.167 0.833 Rb
0.000 0.833 0.167 Rb
0.500 0.501 0.501 Dy
0.000 0.272 0.500 Br
0.000 0.500 0.272 Br
0.000 0.730 0.730 Br
0.500 0.157 0.157 Br
0.500 0.500 0.844 Br
0.500 0.844 0.500 Br
```

Most intense lines, 5° ≤ 2θ ≤ 70°, sorted by position:
2θ 11.60, d = 7.626 Å, rel. 78
2θ 20.17, d = 4.403 Å, rel. 22
2θ 22.82, d = 3.897 Å, rel. 21
2θ 28.26, d = 3.158 Å, rel. 93
2θ 30.64, d = 2.918 Å, rel. 67
2θ 31.03, d = 2.882 Å, rel. 23
2θ 35.31, d = 2.542 Å, rel. 68
2θ 36.96, d = 2.432 Å, rel. 100
2θ 39.77, d = 2.267 Å, rel. 31
2θ 41.00, d = 2.201 Å, rel. 13
2θ 54.22, d = 1.692 Å, rel. 39
2θ 56.37, d = 1.632 Å, rel. 25


Structure and computed powder XRD pattern of Rb2DyBr5 (DFT lattice parameters and positions (PBE); Cu Kα X-rays).
No peak broadening, texture or thermal motion is included.

```
Rb2DyBr5
1.0
13.917 0.000 0.000
0.000 9.256 0.000
0.000 0.000 8.822
Rb Dy Br
8 4 20
Direct
0.169 0.009 0.079 Rb
0.169 0.491 0.079 Rb
0.331 0.509 0.579 Rb
0.331 0.991 0.579 Rb
0.669 0.009 0.421 Rb
0.669 0.491 0.421 Rb
0.831 0.509 0.921 Rb
0.831 0.991 0.921 Rb
0.005 0.250 0.571 Dy
0.495 0.750 0.071 Dy
0.505 0.250 0.929 Dy
0.995 0.750 0.429 Dy
0.014 0.250 0.900 Br
0.060 0.547 0.666 Br
0.060 0.953 0.666 Br
0.181 0.250 0.409 Br
0.193 0.750 0.362 Br
0.307 0.250 0.862 Br
0.319 0.750 0.909 Br
0.440 0.047 0.166 Br
0.440 0.453 0.166 Br
0.486 0.750 0.400 Br
0.514 0.250 0.600 Br
0.560 0.547 0.834 Br
0.560 0.953 0.834 Br
0.681 0.250 0.091 Br
0.693 0.750 0.138 Br
0.807 0.250 0.638 Br
0.819 0.750 0.591 Br
0.940 0.047 0.334 Br
0.940 0.453 0.334 Br
0.986 0.750 0.100 Br
```

Most intense lines, 5° ≤ 2θ ≤ 70°, sorted by position:
2θ 11.88, d = 7.451 Å, rel. 63
2θ 12.72, d = 6.958 Å, rel. 39
2θ 22.62, d = 3.932 Å, rel. 32
2θ 27.56, d = 3.237 Å, rel. 67
2θ 28.68, d = 3.112 Å, rel. 100
2θ 29.07, d = 3.071 Å, rel. 44
2θ 30.81, d = 2.902 Å, rel. 36
2θ 32.19, d = 2.781 Å, rel. 33
2θ 34.50, d = 2.600 Å, rel. 40
2θ 38.89, d = 2.316 Å, rel. 62
2θ 39.12, d = 2.303 Å, rel. 38
2θ 41.38, d = 2.182 Å, rel. 29


Structure and computed powder XRD pattern of RbSrDyBr6 (DFT lattice parameters and positions (PBE); Cu Kα X-rays).
No peak broadening, texture or thermal motion is included.

```
RbSrDyBr6
1.0
7.735 0.000 0.000
-3.868 6.699 0.000
0.000 0.000 14.685
Rb Sr Dy Br
2 2 2 12
Direct
0.000 0.000 0.000 Rb
0.000 0.000 0.500 Rb
0.333 0.667 0.250 Sr
0.667 0.333 0.750 Sr
0.333 0.667 0.750 Dy
0.667 0.333 0.250 Dy
0.025 0.384 0.638 Br
0.025 0.640 0.862 Br
0.360 0.384 0.862 Br
0.360 0.975 0.638 Br
0.384 0.025 0.138 Br
0.384 0.360 0.362 Br
0.616 0.640 0.638 Br
0.616 0.975 0.862 Br
0.640 0.025 0.362 Br
0.640 0.616 0.138 Br
0.975 0.360 0.138 Br
0.975 0.616 0.362 Br
```

Most intense lines, 5° ≤ 2θ ≤ 70°, sorted by position:
2θ 12.05, d = 7.343 Å, rel. 35
2θ 14.53, d = 6.095 Å, rel. 20
2θ 17.92, d = 4.949 Å, rel. 71
2θ 26.04, d = 3.422 Å, rel. 100
2θ 33.66, d = 2.663 Å, rel. 97
2θ 37.58, d = 2.394 Å, rel. 30
2θ 40.39, d = 2.233 Å, rel. 47
2θ 43.77, d = 2.068 Å, rel. 28
2θ 50.68, d = 1.801 Å, rel. 17
2θ 53.56, d = 1.711 Å, rel. 21
2θ 65.87, d = 1.418 Å, rel. 22
2θ 69.17, d = 1.358 Å, rel. 16